MgV2S4: calculated PXRD pattern (a wavelength of 1.5418 Å), based on a cell relaxed with PBE.
No peak broadening, texture or thermal motion is included.

a b c (Å): 3.6105 3.6105 12.7477
angles (deg): 90.00 90.00 120.00
Space group P3m1 (No. 156)
Unique sites:
Mg 0.0000 0.0000 0.0000 [1 per cell]
V 0.6667 0.3333 0.2404 [1 per cell]
V 0.6667 0.3333 0.7045 [1 per cell]
S 0.0000 0.0000 0.3210 [1 per cell]
S 0.0000 0.0000 0.8142 [1 per cell]
S 0.3333 0.6667 0.1001 [1 per cell]
S 0.3333 0.6667 0.6142 [1 per cell]

Most intense lines, 10° ≤ 2θ ≤ 80°, sorted by position:
| h k l | 2θ/deg | I (rel.) |
| --- | --- | --- |
| 0 0 2 | 13.89 | 82 |
| 0 1 2 | 31.88 | 100 |
| 0 1 4 | 40.41 | 62 |
| 1 1 0 | 50.56 | 41 |
| 1 0 6 | 52.04 | 30 |
| 1 1 2 | 52.70 | 12 |
| 2 0 2 | 61.03 | 13 |
| 2 0 4 | 66.63 | 12 |